The following is a computed powder XRD pattern of VH4C2O6. It was derived from a cell relaxed with GGA+U, using Cu Kα, 1.54184 Å.

Main lines, sorted by position (2θ from 15° to 90°):
index, two_theta, I_rel
1 1 1, 18.82, 100.0
0 0 2, 20.59, 9.0
2 0 0, 20.92, 8.3
0 2 0, 23.64, 46.6
2 0 2, 29.52, 40.3
1 3 1, 38.86, 16.1
3 1 3, 46.62, 8.9
2 0 4, 47.28, 9.5
4 0 2, 47.75, 9.1
0 4 0, 48.37, 10.0

Crystal structure
```
data_VH4C2O6
_space_group_name_H-M_alt 'P c c a'
_space_group_IT_number 54
_space_group_name_Hall '-P 2a 2ac'
_cell_length_a 8.491
_cell_length_b 7.527
_cell_length_c 8.626
_cell_angle_alpha 90.00
_cell_angle_beta 90.00
_cell_angle_gamma 90.00
loop_
_atom_site_label
_atom_site_fract_x
_atom_site_fract_y
_atom_site_fract_z
_atom_site_occupancy
V1 0.000 0.228 0.250 1
H1 0.072 0.401 0.691 1
H2 0.170 0.176 0.927 1
C1 0.244 0.236 0.508 1
O1 0.000 0.011 0.250 1
O2 0.000 0.477 0.750 1
O3 0.105 0.268 0.463 1
O4 0.214 0.275 0.146 1
```